Ce3Si2Rh2: simulated powder X-ray diffraction pattern (Cu Kα), based on a crystal structure in the Materials Project, relaxed with GGA-PBE.

Atomic structure:
Cell lengths 5.5473, 7.9528, 13.1738 Å; angles 90.00, 90.00, 90.00 degrees
Fractional positions:
Ce 0.1419 0.1115 0.0994
Ce 0.1419 0.1115 0.4006
Ce 0.1419 0.3885 0.5994
Ce 0.1419 0.3885 0.9006
Ce 0.3558 0.7415 0.7500
Ce 0.3558 0.7585 0.2500
Ce 0.6442 0.2415 0.7500
Ce 0.6442 0.2585 0.2500
Ce 0.8581 0.6115 0.0994
Ce 0.8581 0.6115 0.4006
Ce 0.8581 0.8885 0.5994
Ce 0.8581 0.8885 0.9006
Si 0.1456 0.0961 0.7500
Si 0.1456 0.4039 0.2500
Si 0.3534 0.7500 0.0000
Si 0.3534 0.7500 0.5000
Si 0.6466 0.2500 0.0000
Si 0.6466 0.2500 0.5000
Si 0.8544 0.5961 0.7500
Si 0.8544 0.9039 0.2500
Rh 0.3775 0.0343 0.5926
Rh 0.3775 0.0343 0.9074
Rh 0.3775 0.4657 0.0926
Rh 0.3775 0.4657 0.4074
Rh 0.6225 0.5343 0.5926
Rh 0.6225 0.5343 0.9074
Rh 0.6225 0.9657 0.0926
Rh 0.6225 0.9657 0.4074

Peak list (10 most intense, 15 to 90 degrees two-theta, most intense first)
hkl  two_theta  I/Imax
2 1 3  40.09  100
1 3 0  37.61  59
1 1 4  33.59  56
1 2 3  34.46  45
0 0 6  41.11  41
0 2 4  35.39  40
2 1 0  34.24  40
1 1 2  23.77  35
2 1 1  34.93  33
0 2 2  26.18  30